This entry pairs a crystal structure of Sr4MgMn2Cl2O6 with its theoretical powder X-ray diffraction pattern. Radiation: Cu Kα (weighted mean of Kα1 and Kα2). Structure: a DFT-relaxed cell (GGA+U, the Materials Project).

Cell and atoms:
Unit cell a=3.9132 b=3.9273 c=18.9751 alpha=90.00 beta=90.00 gamma=90.00
Fractional positions:
Sr (0.0000, 0.0000, 0.0000)
Sr (0.0000, 0.0000, 0.1912)
Sr (0.5000, 0.5000, 0.3328)
Sr (0.5000, 0.5000, 0.5552)
Mg (0.0000, 0.5000, 0.7225)
Mn (0.0000, 0.0000, 0.4388)
Mn (0.5000, 0.5000, 0.1000)
Cl (0.0000, 0.0000, 0.7912)
Cl (0.5000, 0.5000, 0.9298)
O (0.0000, 0.0000, 0.3320)
O (0.0000, 0.5000, 0.0854)
O (0.0000, 0.5000, 0.6255)
O (0.5000, 0.0000, 0.0856)
O (0.5000, 0.0000, 0.4725)
O (0.5000, 0.5000, 0.2113)

Principal peaks in the range 10° ≤ 2θ ≤ 90°, low angle first:
- 2θ 29.6, I = 91, hkl 0 1 4
- 2θ 32.3, I = 90, hkl 1 1 0
- 2θ 32.8, I = 100, hkl 0 1 5
- 2θ 40.3, I = 30, hkl 1 1 5
- 2θ 46.2, I = 30, hkl 0 2 0
- 2θ 46.4, I = 32, hkl 2 0 0